Starting from the GGA-PBE geometry in OQMD, the powder diffractogram of DyErPbN was calculated for Cu Kα (λ = 1.5418 Å).
No peak broadening, texture or thermal motion is included.

Largest 10 diffraction maxima, by angle, 2θ = 5–70°:
2θ (°)  Rel. int.
29.22  222
29.79  9
34.07  1000
34.68  201
45.96  159
51.80  215
60.59  30
61.76  183
63.47  169
63.85  213

Structural model:
```
data_DyErPbN
_symmetry_space_group_name_H-M 'P -3 m 1'
_symmetry_Int_Tables_number 164
_symmetry_space_group_name_Hall '-P 3 2"'
_cell_length_a 3.5295
_cell_length_b 3.5295
_cell_length_c 15.5207
_cell_angle_alpha 90.00
_cell_angle_beta 90.00
_cell_angle_gamma 120.00
loop_
_atom_site_label
_atom_site_type_symbol
_atom_site_fract_x
_atom_site_fract_y
_atom_site_fract_z
Dy1 Dy 0.3333 0.6667 0.4161
Er1 Er 0.3333 0.6667 0.0825
Pb1 Pb 0.3333 0.6667 0.7516
N1 N 0.0000 0.0000 0.0000
N2 N 0.0000 0.0000 0.5000
```

***

Starting from the GGA-PBE geometry in OQMD, the powder diffractogram of Zr2Se3 was calculated for Cu Kα (λ = 1.5418 Å).
No peak broadening, texture or thermal motion is included.

Largest 10 diffraction maxima, by angle, 2θ = 5–70°:
2θ (°)  Rel. int.
13.67  140
17.18  114
27.44  59
30.78  1000
39.28  903
48.52  466
50.78  209
56.88  93
58.57  152
64.12  204

Structural model:
```
data_Zr2Se3
_symmetry_space_group_name_H-M 'P -3 1 c'
_symmetry_Int_Tables_number 163
_symmetry_space_group_name_Hall '-P 3 2c'
_cell_length_a 6.4999
_cell_length_b 6.4999
_cell_length_c 12.9510
_cell_angle_alpha 90.00
_cell_angle_beta 90.00
_cell_angle_gamma 120.00
loop_
_atom_site_label
_atom_site_type_symbol
_atom_site_fract_x
_atom_site_fract_y
_atom_site_fract_z
Zr1 Zr 0.0000 0.0000 0.0000
Zr2 Zr 0.3333 0.6667 0.0032
Zr3 Zr 0.3333 0.6667 0.2500
Se1 Se 0.0087 0.3331 0.8700
```

***

Starting from the GGA-PBE geometry in OQMD, the powder diffractogram of Ba2CuAgAs2 was calculated for Cu Kα (λ = 1.5418 Å).
No peak broadening, texture or thermal motion is included.

Largest 10 diffraction maxima, by angle, 2θ = 5–70°:
2θ (°)  Rel. int.
9.66  18
22.65  55
29.99  1000
39.37  151
39.77  442
45.90  17
50.60  226
57.20  297
65.65  102
66.21  200

Structural model:
```
data_Ba2CuAgAs2
_symmetry_space_group_name_H-M 'P -6 m 2'
_symmetry_Int_Tables_number 187
_symmetry_space_group_name_Hall 'P -6 2'
_cell_length_a 4.5331
_cell_length_b 4.5331
_cell_length_c 9.1547
_cell_angle_alpha 90.00
_cell_angle_beta 90.00
_cell_angle_gamma 120.00
loop_
_atom_site_label
_atom_site_type_symbol
_atom_site_fract_x
_atom_site_fract_y
_atom_site_fract_z
Ba1 Ba 0.0000 0.0000 0.2473
Cu1 Cu 0.3333 0.6667 0.0000
Ag1 Ag 0.6667 0.3333 0.5000
As1 As 0.3333 0.6667 0.5000
As2 As 0.6667 0.3333 0.0000
```

***

Starting from the GGA-PBE geometry in OQMD, the powder diffractogram of Nd5As4Cl3O12 was calculated for Cu Kα (λ = 1.5418 Å).
No peak broadening, texture or thermal motion is included.

Largest 10 diffraction maxima, by angle, 2θ = 5–70°:
2θ (°)  Rel. int.
10.47  368
12.70  182
24.99  412
25.21  460
30.99  1000
31.34  865
31.82  585
32.93  507
46.45  689
57.61  146

Structural model:
```
data_Nd5As4Cl3O12
_symmetry_space_group_name_H-M 'P 1 2/c 1'
_symmetry_Int_Tables_number 13
_cell_length_a 10.225
_cell_length_b 5.439
_cell_length_c 16.866
_cell_angle_alpha 90.00
_cell_angle_beta 124.25
_cell_angle_gamma 90.00
loop_
_symmetry_equiv_pos_as_xyz
'x,y,z'
'-x,-y,-z'
'-x,y,-z+1/2'
'x,-y,z+1/2'
loop_
_atom_site_label
_atom_site_type_symbol
_atom_site_fract_x
_atom_site_fract_y
_atom_site_fract_z
Nd1 Nd 0.000 0.207 0.250
Nd2 Nd 0.005 0.264 0.585
Nd3 Nd 0.342 0.244 0.534
As1 As 0.264 0.262 0.153
As2 As 0.276 0.240 0.864
Cl1 Cl 0.492 0.253 0.415
Cl2 Cl 0.500 0.248 0.750
O1 O 0.096 0.326 0.157
O2 O 0.142 0.153 0.743
O3 O 0.176 0.010 0.065
O4 O 0.183 0.496 0.880
O5 O 0.188 0.500 0.056
O6 O 0.192 0.015 0.904
```

***

Starting from the GGA-PBE geometry in OQMD, the powder diffractogram of Sc4GaFeN2 was calculated for Cu Kα (λ = 1.5418 Å).
No peak broadening, texture or thermal motion is included.

Largest 10 diffraction maxima, by angle, 2θ = 5–70°:
2θ (°)  Rel. int.
12.84  22
32.59  186
35.16  80
38.16  1000
39.21  150
46.67  63
51.88  153
58.16  211
63.75  32
68.25  33

Structural model:
```
data_Sc4GaFeN2
_symmetry_space_group_name_H-M 'P -6 m 2'
_symmetry_Int_Tables_number 187
_symmetry_space_group_name_Hall 'P -6 2'
_cell_length_a 3.1725
_cell_length_b 3.1725
_cell_length_c 13.7858
_cell_angle_alpha 90.00
_cell_angle_beta 90.00
_cell_angle_gamma 120.00
loop_
_atom_site_label
_atom_site_type_symbol
_atom_site_fract_x
_atom_site_fract_y
_atom_site_fract_z
Sc1 Sc 0.0000 0.0000 0.1467
Sc2 Sc 0.6667 0.3333 0.3302
Ga1 Ga 0.0000 0.0000 0.5000
Fe1 Fe 0.6667 0.3333 0.0000
N1 N 0.3333 0.6667 0.2446
```